(1)
# Li3Mn2O5
Computed powder diffractogram, Cu Kα, 1.54184 Å. Input: a cell relaxed with PBE+U.

Atomic structure:
Cell: 24.6484 24.6484 24.6484 Å, 6.98 6.98 6.98°
Element x y z (fractional)
Li (0.0000, 0.0000, 0.0000)
Li (0.1002, 0.1002, 0.1002)
Li (0.3037, 0.3037, 0.3037)
Li (0.5000, 0.5000, 0.5000)
Li (0.6963, 0.6963, 0.6963)
Li (0.8998, 0.8998, 0.8998)
Mn (0.2000, 0.2000, 0.2000)
Mn (0.3998, 0.3998, 0.3998)
Mn (0.6002, 0.6002, 0.6002)
Mn (0.8000, 0.8000, 0.8000)
O (0.0528, 0.0528, 0.0528)
O (0.1486, 0.1486, 0.1486)
O (0.2516, 0.2516, 0.2516)
O (0.3502, 0.3502, 0.3502)
O (0.4512, 0.4512, 0.4512)
O (0.5488, 0.5488, 0.5488)
O (0.6498, 0.6498, 0.6498)
O (0.7484, 0.7484, 0.7484)
O (0.8514, 0.8514, 0.8514)
O (0.9472, 0.9472, 0.9472)

Largest 10 diffraction maxima, by intensity, 2θ from 10° to 90°:
2θ/deg  Rel. int.
18.04  1000
42.57  988
35.07  407
61.86  275
61.68  255
56.19  167
10.79  167
65.01  144
46.58  133
77.99  121



(2)
# Li5Fe8B8O24
Computed powder diffractogram, Cu Kα, 1.54184 Å. Input: a cell relaxed with PBE+U.

Atomic structure:
Cell: 5.2576 9.0999 11.3607 Å, 66.88 77.32 89.79°
Element x y z (fractional)
Li (0.0000, 0.0000, 0.0000)
Li (0.0382, 0.0192, 0.2703)
Li (0.4967, 0.4981, 0.0067)
Li (0.5370, 0.5193, 0.2732)
Li (0.7672, 0.7825, 0.7638)
Fe (0.0028, 0.6797, 0.9869)
Fe (0.0550, 0.3717, 0.2368)
Fe (0.2519, 0.5912, 0.4948)
Fe (0.2865, 0.9752, 0.7331)
Fe (0.5040, 0.1766, 0.9769)
Fe (0.5550, 0.8708, 0.2374)
Fe (0.7535, 0.0924, 0.4913)
Fe (0.7791, 0.4616, 0.7326)
B (0.0061, 0.3364, 0.9873)
B (0.0474, 0.7129, 0.2329)
B (0.2633, 0.9272, 0.4802)
B (0.2882, 0.6383, 0.7363)
B (0.4998, 0.8456, 0.9827)
B (0.5524, 0.2147, 0.2284)
B (0.7595, 0.4272, 0.4806)
B (0.7946, 0.1258, 0.7422)
O (0.0125, 0.9547, 0.4650)
O (0.0396, 0.1242, 0.7557)
O (0.1109, 0.4491, 0.0216)
O (0.1307, 0.7434, 0.7747)
O (0.1377, 0.2052, 0.9876)
O (0.1765, 0.5436, 0.6854)
O (0.2588, 0.8693, 0.9535)
O (0.2781, 0.6803, 0.2775)
O (0.3887, 0.8113, 0.4440)
O (0.3930, 0.0182, 0.5256)
O (0.4387, 0.1073, 0.1890)
O (0.4446, 0.3581, 0.2144)
O (0.5133, 0.4588, 0.4623)
O (0.5416, 0.6272, 0.7494)
O (0.6104, 0.9556, 0.0215)
O (0.6232, 0.2237, 0.7863)
O (0.6331, 0.7188, 0.9722)
O (0.6936, 0.0252, 0.6898)
O (0.7584, 0.3533, 0.9559)
O (0.7773, 0.1785, 0.2776)
O (0.8833, 0.3085, 0.4469)
O (0.8901, 0.5145, 0.5284)
O (0.9277, 0.6006, 0.2015)
O (0.9415, 0.8572, 0.2158)

Largest 10 diffraction maxima, by intensity, 2θ from 10° to 90°:
2θ/deg  Rel. int.
21.49  1000
19.52  866
35.37  833
34.09  514
26.48  368
40.57  366
26.18  330
34.18  306
53.85  249
26.04  232